Record 1
This entry pairs a crystal structure of Pr6TmMg2 with its theoretical powder diffraction line list. Radiation: Cu Kα. Structure: a structure optimized by DFT (PBE).

```
Pr6TmMg2
1.0
3.115 -5.328 0.000
3.115 5.328 0.000
0.000 0.000 8.862
Pr Tm Mg
6 1 2
direct
0.173 0.341 0.664
0.175 0.825 0.000
0.341 0.173 0.336
0.659 0.827 0.336
0.825 0.175 0.000
0.827 0.659 0.664
0.500 0.500 0.000
0.000 0.500 0.329
0.500 0.000 0.671
```

Peak list (6 most intense, 2θ = 10–80°, in order of falling intensity)
- 2θ 30.7, 2.914 Å, rel. 1000
- 2θ 35.5, 2.532 Å, rel. 695
- 2θ 30.4, 2.938 Å, rel. 619
- 2θ 30.3, 2.954 Å, rel. 613
- 2θ 35.2, 2.548 Å, rel. 430
- 2θ 19.3, 4.597 Å, rel. 262


Record 2
This entry pairs a crystal structure of CuTe4Ir with its theoretical powder diffraction line list. Radiation: Cu Kα. Structure: a structure optimized by DFT (PBE).

```
CuTe4Ir
1.0
12.589 0.000 0.000
0.000 4.026 0.000
-3.872 0.000 5.964
Cu Te Ir
2 8 2
direct
0.000 0.000 0.000
0.500 0.500 0.000
0.117 0.000 0.433
0.143 0.500 0.943
0.357 0.000 0.057
0.383 0.500 0.567
0.617 0.500 0.433
0.643 0.000 0.943
0.857 0.500 0.057
0.883 0.000 0.567
0.000 0.500 0.500
0.500 0.000 0.500
```

Peak list (6 most intense, 2θ = 10–80°, in order of falling intensity)
- 2θ 30.8, 2.903 Å, rel. 1000
- 2θ 30.0, 2.982 Å, rel. 382
- 2θ 44.4, 2.042 Å, rel. 346
- 2θ 43.2, 2.096 Å, rel. 255
- 2θ 16.8, 5.280 Å, rel. 215
- 2θ 45.0, 2.013 Å, rel. 192


Record 3
This entry pairs a crystal structure of LaPrGeSe with its theoretical powder diffraction line list. Radiation: Cu Kα. Structure: a structure optimized by DFT (PBE).

```
LaPrGeSe
1.0
4.350 0.000 0.000
-2.175 3.768 0.000
0.000 0.000 21.406
La Pr Ge Se
3 3 3 3
direct
0.000 0.000 0.000
0.333 0.667 0.667
0.667 0.333 0.333
0.000 0.000 0.506
0.333 0.667 0.172
0.667 0.333 0.839
0.000 0.000 0.252
0.333 0.667 0.919
0.667 0.333 0.585
0.000 0.000 0.753
0.333 0.667 0.420
0.667 0.333 0.087
```

Peak list (6 most intense, 2θ = 10–80°, in order of falling intensity)
- 2θ 29.0, 3.081 Å, rel. 1000
- 2θ 41.5, 2.175 Å, rel. 377
- 2θ 41.4, 2.182 Å, rel. 375
- 2θ 51.4, 1.777 Å, rel. 201
- 2θ 75.7, 1.257 Å, rel. 188
- 2θ 68.1, 1.376 Å, rel. 171


Record 4
This entry pairs a crystal structure of Ce3Cl8 with its theoretical powder diffraction line list. Radiation: Cu Kα. Structure: a structure optimized by DFT (PBE).

```
Ce3Cl8
1.0
6.861 0.000 0.000
0.000 6.861 0.000
0.000 0.000 6.861
Ce Cl
3 8
direct
0.000 0.000 0.500
0.000 0.500 0.000
0.500 0.000 0.000
0.246 0.246 0.246
0.246 0.246 0.754
0.246 0.754 0.246
0.246 0.754 0.754
0.754 0.246 0.246
0.754 0.246 0.754
0.754 0.754 0.246
0.754 0.754 0.754
```

Peak list (6 most intense, 2θ = 10–80°, in order of falling intensity)
- 2θ 37.1, 2.426 Å, rel. 1000
- 2θ 22.4, 3.961 Å, rel. 872
- 2θ 43.8, 2.069 Å, rel. 448
- 2θ 66.8, 1.401 Å, rel. 324
- 2θ 12.9, 6.861 Å, rel. 287
- 2θ 18.3, 4.852 Å, rel. 235


Record 5
This entry pairs a crystal structure of Pm3InIr3 with its theoretical powder diffraction line list. Radiation: Cu Kα. Structure: a structure optimized by DFT (PBE).

```
Pm3InIr3
1.0
2.227 -5.235 0.000
2.227 5.235 0.000
0.000 0.000 13.822
Pm In Ir
6 2 6
direct
0.017 0.983 0.750
0.300 0.700 0.607
0.300 0.700 0.893
0.700 0.300 0.107
0.700 0.300 0.393
0.983 0.017 0.250
0.000 0.000 0.000
0.000 0.000 0.500
0.262 0.738 0.250
0.407 0.593 0.094
0.407 0.593 0.406
0.593 0.407 0.594
0.593 0.407 0.906
0.738 0.262 0.750
```

Peak list (6 most intense, 2θ = 10–80°, in order of falling intensity)
- 2θ 38.1, 2.360 Å, rel. 1000
- 2θ 33.9, 2.642 Å, rel. 754
- 2θ 32.6, 2.747 Å, rel. 504
- 2θ 40.5, 2.227 Å, rel. 477
- 2θ 39.1, 2.304 Å, rel. 236
- 2θ 39.6, 2.276 Å, rel. 211


Record 6
This entry pairs a crystal structure of Ce3Pm2Sb3 with its theoretical powder diffraction line list. Radiation: Cu Kα. Structure: a structure optimized by DFT (PBE).

```
Ce3Pm2Sb3
1.0
9.293 0.000 0.000
-4.646 8.048 0.000
0.000 0.000 6.482
Ce Pm Sb
6 4 6
direct
0.000 0.252 0.250
0.000 0.748 0.750
0.252 0.000 0.250
0.252 0.252 0.750
0.748 0.000 0.750
0.748 0.748 0.250
0.333 0.667 0.000
0.333 0.667 0.500
0.667 0.333 0.000
0.667 0.333 0.500
0.000 0.386 0.750
0.000 0.614 0.250
0.386 0.000 0.750
0.386 0.386 0.250
0.614 0.000 0.250
0.614 0.614 0.750
```

Peak list (6 most intense, 2θ = 10–80°, in order of falling intensity)
- 2θ 32.5, 2.754 Å, rel. 1000
- 2θ 33.7, 2.658 Å, rel. 952
- 2θ 33.4, 2.683 Å, rel. 654
- 2θ 29.4, 3.042 Å, rel. 318
- 2θ 51.9, 1.762 Å, rel. 265
- 2θ 48.2, 1.888 Å, rel. 254


Record 7
This entry pairs a crystal structure of Tb2Pm2Pb5 with its theoretical powder diffraction line list. Radiation: Cu Kα. Structure: a structure optimized by DFT (PBE).

```
Tb2Pm2Pb5
1.0
7.922 -3.604 0.000
7.922 3.604 0.000
-2.571 0.000 9.866
Tb Pm Pb
4 4 10
direct
0.000 0.000 0.000
0.231 0.231 0.230
0.500 0.500 0.500
0.769 0.769 0.770
0.111 0.111 0.610
0.337 0.337 0.843
0.663 0.663 0.157
0.889 0.889 0.390
0.000 0.500 0.500
0.084 0.617 0.101
0.174 0.725 0.706
0.275 0.826 0.294
0.383 0.916 0.899
0.500 0.000 0.500
0.617 0.084 0.101
0.725 0.174 0.706
0.826 0.275 0.294
0.916 0.383 0.899
```

Peak list (6 most intense, 2θ = 10–80°, in order of falling intensity)
- 2θ 31.2, 2.866 Å, rel. 1000
- 2θ 36.9, 2.435 Å, rel. 408
- 2θ 38.1, 2.363 Å, rel. 305
- 2θ 32.2, 2.779 Å, rel. 301
- 2θ 33.9, 2.641 Å, rel. 269
- 2θ 27.0, 3.303 Å, rel. 154


Record 8
This entry pairs a crystal structure of Ba6Nb2IrCl2O12 with its theoretical powder diffraction line list. Radiation: Cu Kα. Structure: a structure optimized by DFT (PBE).

```
Ba6Nb2IrCl2O12
1.0
6.039 0.000 0.000
-3.020 5.230 0.000
0.000 0.000 15.024
Ba Nb Ir Cl O
6 2 1 2 12
direct
0.333 0.667 0.071
0.333 0.667 0.365
0.333 0.667 0.792
0.667 0.333 0.208
0.667 0.333 0.635
0.667 0.333 0.929
0.000 0.000 0.186
0.000 0.000 0.814
0.000 0.000 0.000
0.333 0.667 0.580
0.667 0.333 0.420
0.154 0.309 0.918
0.154 0.846 0.918
0.162 0.325 0.243
0.162 0.838 0.243
0.309 0.154 0.082
0.325 0.162 0.757
0.675 0.838 0.243
0.691 0.846 0.918
0.838 0.162 0.757
0.838 0.675 0.757
0.846 0.154 0.082
0.846 0.691 0.082
```

Peak list (6 most intense, 2θ = 10–80°, in order of falling intensity)
- 2θ 29.6, 3.020 Å, rel. 1000
- 2θ 29.3, 3.051 Å, rel. 515
- 2θ 24.6, 3.617 Å, rel. 353
- 2θ 18.0, 4.940 Å, rel. 327
- 2θ 42.1, 2.146 Å, rel. 290
- 2θ 52.3, 1.749 Å, rel. 279


Record 9
This entry pairs a crystal structure of NdSm2Th6 with its theoretical powder diffraction line list. Radiation: Cu Kα. Structure: a structure optimized by DFT (PBE).

```
NdSm2Th6
1.0
3.556 0.000 0.000
-1.778 3.080 0.000
0.000 0.000 27.259
Nd Sm Th
1 2 6
direct
0.000 0.000 0.000
0.667 0.333 0.330
0.667 0.333 0.670
0.000 0.000 0.219
0.000 0.000 0.439
0.000 0.000 0.561
0.000 0.000 0.781
0.667 0.333 0.112
0.667 0.333 0.888
```

Peak list (6 most intense, 2θ = 10–80°, in order of falling intensity)
- 2θ 33.4, 2.681 Å, rel. 1000
- 2θ 31.9, 2.806 Å, rel. 774
- 2θ 29.5, 3.029 Å, rel. 602
- 2θ 29.0, 3.080 Å, rel. 527
- 2θ 60.4, 1.533 Å, rel. 493
- 2θ 51.4, 1.778 Å, rel. 411


Record 10
This entry pairs a crystal structure of Rb3C with its theoretical powder diffraction line list. Radiation: Cu Kα. Structure: a structure optimized by DFT (PBE).

```
Rb3C
1.0
4.287 0.000 0.000
0.000 8.911 0.000
0.000 0.000 11.950
Rb C
6 2
direct
0.250 0.032 0.192
0.250 0.250 0.485
0.250 0.468 0.192
0.750 0.532 0.808
0.750 0.750 0.515
0.750 0.968 0.808
0.250 0.750 0.702
0.750 0.250 0.298
```

Peak list (6 most intense, 2θ = 10–80°, in order of falling intensity)
- 2θ 24.9, 3.572 Å, rel. 1000
- 2θ 22.0, 4.035 Å, rel. 898
- 2θ 22.3, 3.983 Å, rel. 897
- 2θ 29.9, 2.991 Å, rel. 856
- 2θ 21.3, 4.175 Å, rel. 838
- 2θ 36.7, 2.451 Å, rel. 433